For BaAg2PdSeS3, a structure optimized by DFT (GGA-PBE) gives the theoretical X-ray diffraction stick pattern in this record (copper Kα).
Intensities are scaled so that the largest is 100.

Peak list (10 most intense, 2θ = 10–90°, by angle)
(-1 1 1), 3.654 Å, intensity 44; (0 1 -2), 3.201 Å, intensity 100; (1 1 -1), 3.145 Å, intensity 25; (1 -2 1), 3.027 Å, intensity 50; (2 -1 0), 3.007 Å, intensity 39; (-2 1 1), 2.861 Å, intensity 23; (0 2 0), 2.392 Å, intensity 37; (2 0 -2), 2.376 Å, intensity 27; (0 1 2), 2.063 Å, intensity 35; (-2 2 2), 1.827 Å, intensity 24

Structure:
Lattice parameters (Å, degrees): 6.0997 6.1440 6.5575 109.49 99.11 118.17
Space group P1 (No. 1)
Unique sites:
Ba: 0.0000 0.0000 0.0000 (multiplicity 1)
Ag: 0.2175 0.5306 0.6973 (multiplicity 1)
Ag: 0.8181 0.5026 0.3055 (multiplicity 1)
Pd: 0.4027 0.9291 0.4997 (multiplicity 1)
Se: 0.8362 0.9945 0.4743 (multiplicity 1)
S: 0.1428 0.6116 0.1049 (multiplicity 1)
S: 0.5066 0.0500 0.8956 (multiplicity 1)
S: 0.5159 0.3680 0.5208 (multiplicity 1)